Diffraction record for K3Li2Tl9. The PXRD pattern is theoretical, not measured: it uses the GGA-PBE geometry in Alexandria and Cu Kα (λ = 1.5418 Å).

a b c (Å): 9.8251 9.8251 9.8251
angles (deg): 149.82 106.51 81.46
Atoms (fractional coordinates):
K1 0.0000 0.0000 0.0000
K2 0.3074 0.3074 0.0000
K3 0.6926 0.6926 0.0000
Li1 0.2970 0.5000 0.7970
Li2 0.7030 0.5000 0.2030
Tl1 0.0305 0.6721 0.3584
Tl2 0.1573 0.8778 0.2795
Tl3 0.3137 0.6721 0.6416
Tl4 0.4016 0.1222 0.2795
Tl5 0.5000 0.0000 0.5000
Tl6 0.5984 0.8778 0.7205
Tl7 0.6863 0.3279 0.3584
Tl8 0.8427 0.1222 0.7205
Tl9 0.9695 0.3279 0.6416

The 10 most intense peaks (2θ from 10° to 90°), in order of rising 2θ:
2θ (°), d_spacing, intensity
15.07, 5.878, 56
18.92, 4.691, 100
23.88, 3.726, 52
28.38, 3.145, 81
28.70, 3.111, 79
29.31, 3.047, 59
35.08, 2.558, 79
35.75, 2.512, 77
37.68, 2.387, 50
38.17, 2.358, 49